Entry 1:
The following is a simulated powder XRD pattern of Sr3CaRh. It was derived from a cell relaxed with GGA-PBE, using CuKα.

Peak list (8 most intense, 2θ from 10° to 90°, by intensity)
| 2θ (°) | intensity |
| --- | --- |
| 30.44 | 100 |
| 43.42 | 73 |
| 26.22 | 71 |
| 16.85 | 62 |
| 30.21 | 51 |
| 53.95 | 38 |
| 43.59 | 36 |
| 21.40 | 32 |

Structural model:
Cell lengths 7.2286, 7.2286, 8.3059 Å; angles 90.00, 90.00, 109.88 degrees
Fractional positions:
Sr (0.0000, 0.5000, 0.5000)
Sr (0.0044, 0.9956, 0.7568)
Sr (0.4956, 0.5044, 0.7568)
Sr (0.5000, 0.0000, 0.5000)
Sr (0.5044, 0.4956, 0.2432)
Sr (0.9956, 0.0044, 0.2432)
Ca (0.0000, 0.5000, 0.0000)
Ca (0.5000, 0.0000, 0.0000)
Rh (0.2500, 0.7500, 0.7642)
Rh (0.7500, 0.2500, 0.2358)



Entry 2:
The following is a simulated powder XRD pattern of Pm12PrSc3. It was derived from a cell relaxed with GGA-PBE, using CuKα.

Peak list (8 most intense, 2θ from 10° to 90°, by intensity)
| 2θ (°) | intensity |
| --- | --- |
| 30.59 | 100 |
| 35.47 | 50 |
| 60.67 | 41 |
| 51.03 | 35 |
| 83.18 | 16 |
| 63.68 | 12 |
| 85.82 | 11 |
| 17.52 | 6 |

Structural model:
Cell lengths 5.0642, 5.0642, 20.2310 Å; angles 90.00, 90.00, 90.00 degrees
Fractional positions:
Pm (0.0000, 0.0000, 0.0000)
Pm (0.0000, 0.0000, 0.2453)
Pm (0.0000, 0.0000, 0.5000)
Pm (0.0000, 0.0000, 0.7547)
Pm (0.0000, 0.5000, 0.1230)
Pm (0.0000, 0.5000, 0.3690)
Pm (0.0000, 0.5000, 0.6310)
Pm (0.0000, 0.5000, 0.8770)
Pm (0.5000, 0.0000, 0.1230)
Pm (0.5000, 0.0000, 0.3690)
Pm (0.5000, 0.0000, 0.6310)
Pm (0.5000, 0.0000, 0.8770)
Pr (0.5000, 0.5000, 0.5000)
Sc (0.5000, 0.5000, 0.0000)
Sc (0.5000, 0.5000, 0.2460)
Sc (0.5000, 0.5000, 0.7540)



Entry 3:
The following is a simulated powder XRD pattern of Ac2SiSbPt6. It was derived from a cell relaxed with GGA-PBE, using CuKα.

Peak list (8 most intense, 2θ from 10° to 90°, by intensity)
| 2θ (°) | intensity |
| --- | --- |
| 37.38 | 100 |
| 38.26 | 93 |
| 27.39 | 68 |
| 39.19 | 63 |
| 28.56 | 47 |
| 29.70 | 44 |
| 54.57 | 28 |
| 39.34 | 28 |

Structural model:
Cell lengths 6.6613, 6.6613, 8.5441 Å; angles 125.91, 125.91, 50.14 degrees
Fractional positions:
Ac (0.2489, 0.2489, 0.2853)
Ac (0.7511, 0.7511, 0.7147)
Si (0.5000, 0.5000, 0.0000)
Sb (0.0000, 0.0000, 0.5000)
Pt (0.2451, 0.7358, 0.2263)
Pt (0.2555, 0.2555, 0.8890)
Pt (0.2642, 0.7549, 0.7737)
Pt (0.7358, 0.2451, 0.2263)
Pt (0.7445, 0.7445, 0.1110)
Pt (0.7549, 0.2642, 0.7737)



Entry 4:
The following is a simulated powder XRD pattern of MgFe3Cl9. It was derived from a cell relaxed with GGA-PBE, using CuKα.

Peak list (8 most intense, 2θ from 10° to 90°, by intensity)
| 2θ (°) | intensity |
| --- | --- |
| 17.14 | 100 |
| 19.32 | 78 |
| 29.58 | 48 |
| 17.88 | 46 |
| 27.79 | 42 |
| 21.98 | 41 |
| 44.29 | 29 |
| 33.14 | 25 |

Structural model:
Cell lengths 9.7046, 9.7046, 12.5672 Å; angles 123.09, 123.09, 54.19 degrees
Fractional positions:
Mg (0.2264, 0.7736, 0.5000)
Mg (0.7736, 0.2264, 0.0000)
Fe (0.0215, 0.2433, 0.8195)
Fe (0.2433, 0.0215, 0.3195)
Fe (0.2948, 0.4418, 0.6761)
Fe (0.4418, 0.2948, 0.1761)
Fe (0.6833, 0.7857, 0.2230)
Fe (0.7857, 0.6833, 0.7230)
Cl (0.0851, 0.1727, 0.1766)
Cl (0.0969, 0.9182, 0.3286)
Cl (0.1727, 0.0851, 0.6766)
Cl (0.1808, 0.4045, 0.0127)
Cl (0.3108, 0.6701, 0.6843)
Cl (0.3557, 0.4482, 0.3589)
Cl (0.4045, 0.1808, 0.5127)
Cl (0.4482, 0.3557, 0.8589)
Cl (0.4708, 0.7679, 0.2396)
Cl (0.5220, 0.9945, 0.1152)
Cl (0.5244, 0.7802, 0.5651)
Cl (0.6701, 0.3108, 0.1843)
Cl (0.7679, 0.4708, 0.7396)
Cl (0.7802, 0.5244, 0.0651)
Cl (0.8223, 0.8994, 0.9248)
Cl (0.8994, 0.8223, 0.4248)
Cl (0.9182, 0.0969, 0.8286)
Cl (0.9945, 0.5220, 0.6152)